Structure and computed powder diffraction line list of U4Si6Ir7 (the PBE geometry in Alexandria; Cu Kα X-rays).
Kinematic intensities with the Lorentz-polarization factor, no thermal factor.

Principal peaks in the range 10° ≤ 2θ ≤ 80°, sorted by position:
d (Å)  2theta  I_rel
3.393  26.27  44.5
2.938  30.42  33.0
2.399  37.49  100.0
2.221  40.62  39.1
2.078  43.56  70.0
1.469  63.30  44.7
1.253  75.95  37.0
1.200  79.98  14.9

Structural model:
Cell: 7.197 7.197 7.197 Å, 109.47 109.47 109.47°
Fractional coordinates of all 17 atoms:
U: 0.000 0.000 0.500
U: 0.000 0.500 0.000
U: 0.500 0.000 0.000
U: 0.500 0.500 0.500
Si: 0.000 0.318 0.318
Si: 0.000 0.682 0.682
Si: 0.318 0.000 0.318
Si: 0.318 0.318 0.000
Si: 0.682 0.000 0.682
Si: 0.682 0.682 0.000
Ir: 0.000 0.000 0.000
Ir: 0.250 0.500 0.750
Ir: 0.250 0.750 0.500
Ir: 0.500 0.250 0.750
Ir: 0.500 0.750 0.250
Ir: 0.750 0.250 0.500
Ir: 0.750 0.500 0.250